# 1
AuN2: simulated X-ray diffraction stick pattern (Cu Kα), based on a crystal structure in the Materials Project, relaxed with PBE.
Lines closer than 0.1° are merged.

Structural model:
Cell lengths 5.053, 6.167, 2.948 Å; angles 90.00, 90.00, 90.00 degrees
Element x y z (fractional)
1 Au 0.000 0.000 0.000
2 Au 0.500 0.500 0.500
3 N 0.083 0.434 0.500
4 N 0.417 0.934 0.000
5 N 0.583 0.066 0.000
6 N 0.917 0.566 0.500

Main lines, by intensity (2θ from 10° to 80°):
2θ/deg, Rel. int.
22.75, 100
33.70, 63
28.96, 44
49.78, 37
46.24, 36
35.25, 34
35.53, 25
46.47, 22
47.77, 18
66.69, 15



# 2
Na3AuN2: simulated X-ray diffraction stick pattern (Cu Kα), based on a crystal structure in the Materials Project, relaxed with PBE.
Lines closer than 0.1° are merged.

Structural model:
Cell lengths 8.790, 8.790, 8.790 Å; angles 123.37, 123.37, 84.26 degrees
Element x y z (fractional)
1 Na 0.096 0.346 0.193
2 Na 0.096 0.904 0.750
3 Na 0.256 0.506 0.750
4 Na 0.346 0.096 0.693
5 Na 0.346 0.654 0.250
6 Na 0.494 0.744 0.750
7 Na 0.506 0.256 0.250
8 Na 0.654 0.346 0.750
9 Na 0.654 0.904 0.307
10 Na 0.744 0.494 0.250
11 Na 0.904 0.096 0.250
12 Na 0.904 0.654 0.807
13 Au 0.027 0.277 0.750
14 Au 0.277 0.027 0.250
15 Au 0.723 0.973 0.750
16 Au 0.973 0.723 0.250
17 N 0.204 0.723 0.481
18 N 0.258 0.277 0.981
19 N 0.277 0.258 0.481
20 N 0.277 0.796 0.019
21 N 0.723 0.204 0.981
22 N 0.723 0.742 0.519
23 N 0.742 0.723 0.019
24 N 0.796 0.277 0.519

Main lines, by intensity (2θ from 10° to 80°):
2θ/deg, Rel. int.
12.60, 100
21.31, 92
34.94, 87
23.08, 79
30.32, 72
31.61, 71
44.41, 44
43.41, 38
56.89, 38
24.83, 36



# 3
Si2AuN3: simulated X-ray diffraction stick pattern (Cu Kα), based on a crystal structure in the Materials Project, relaxed with PBE.
Lines closer than 0.1° are merged.

Structural model:
Cell lengths 5.566, 5.566, 5.048 Å; angles 90.00, 90.00, 60.65 degrees
Element x y z (fractional)
1 Si 0.033 0.321 0.000
2 Si 0.321 0.033 0.500
3 Si 0.679 0.967 0.000
4 Si 0.967 0.679 0.500
5 Au 0.431 0.569 0.107
6 Au 0.569 0.431 0.607
7 N 0.092 0.349 0.343
8 N 0.197 0.803 0.440
9 N 0.349 0.092 0.843
10 N 0.651 0.908 0.343
11 N 0.803 0.197 0.940
12 N 0.908 0.651 0.843

Main lines, by intensity (2θ from 10° to 80°):
2θ/deg, Rel. int.
18.29, 100
40.31, 67
32.17, 54
18.47, 44
36.60, 32
48.71, 24
36.88, 20
53.00, 19
41.29, 19
37.44, 17



# 4
Sr2AuN: simulated X-ray diffraction stick pattern (Cu Kα), based on a crystal structure in the Materials Project, relaxed with PBE.
Lines closer than 0.1° are merged.

Structural model:
Cell lengths 3.792, 19.212, 5.305 Å; angles 90.00, 90.00, 90.00 degrees
Element x y z (fractional)
1 Sr 0.000 0.101 0.250
2 Sr 0.000 0.286 0.250
3 Sr 0.000 0.714 0.750
4 Sr 0.000 0.899 0.750
5 Sr 0.500 0.214 0.750
6 Sr 0.500 0.399 0.750
7 Sr 0.500 0.601 0.250
8 Sr 0.500 0.786 0.250
9 Au 0.000 0.460 0.250
10 Au 0.000 0.540 0.750
11 Au 0.500 0.040 0.750
12 Au 0.500 0.960 0.250
13 N 0.000 0.307 0.750
14 N 0.000 0.693 0.250
15 N 0.500 0.193 0.250
16 N 0.500 0.807 0.750

Main lines, by intensity (2θ from 10° to 80°):
2θ/deg, Rel. int.
32.67, 100
29.32, 75
37.39, 70
33.80, 65
33.19, 53
32.21, 47
23.92, 43
59.26, 37
48.10, 37
59.98, 24



# 5
Na2Au: simulated X-ray diffraction stick pattern (Cu Kα), based on a crystal structure in the Materials Project, relaxed with PBE.
Lines closer than 0.1° are merged.

Structural model:
Cell lengths 7.440, 7.440, 5.613 Å; angles 90.00, 90.00, 90.00 degrees
Element x y z (fractional)
1 Na 0.170 0.330 0.000
2 Na 0.170 0.670 0.500
3 Na 0.330 0.170 0.500
4 Na 0.330 0.830 0.000
5 Na 0.670 0.170 0.000
6 Na 0.670 0.830 0.500
7 Na 0.830 0.330 0.500
8 Na 0.830 0.670 0.000
9 Au 0.000 0.000 0.250
10 Au 0.000 0.000 0.750
11 Au 0.500 0.500 0.250
12 Au 0.500 0.500 0.750

Main lines, by intensity (2θ from 10° to 80°):
2θ/deg, Rel. int.
16.85, 100
36.28, 40
38.26, 39
23.92, 38
40.26, 34
34.09, 24
50.63, 22
47.37, 15
55.22, 12
65.19, 12



# 6
NaAu2: simulated X-ray diffraction stick pattern (Cu Kα), based on a crystal structure in the Materials Project, relaxed with PBE.
Lines closer than 0.1° are merged.

Structural model:
Cell lengths 5.634, 5.634, 5.634 Å; angles 60.00, 60.00, 60.00 degrees
Element x y z (fractional)
1 Na 0.125 0.125 0.125
2 Na 0.875 0.875 0.875
3 Au 0.000 0.500 0.500
4 Au 0.500 0.000 0.500
5 Au 0.500 0.500 0.000
6 Au 0.500 0.500 0.500

Main lines, by intensity (2θ from 10° to 80°):
2θ/deg, Rel. int.
19.30, 100
37.44, 84
39.17, 84
45.54, 36
79.86, 33
66.37, 30
60.37, 28
49.89, 27
69.84, 20
78.77, 10



# 7
NaAu2O4: simulated X-ray diffraction stick pattern (Cu Kα), based on a crystal structure in the Materials Project, relaxed with PBE.
Lines closer than 0.1° are merged.

Structural model:
Cell lengths 6.188, 6.188, 5.620 Å; angles 90.00, 90.00, 90.00 degrees
Element x y z (fractional)
1 Na 0.000 0.500 0.000
2 Na 0.500 0.000 0.500
3 Au 0.000 0.233 0.500
4 Au 0.000 0.767 0.500
5 Au 0.233 0.000 0.000
6 Au 0.767 0.000 0.000
7 O 0.235 0.235 0.250
8 O 0.235 0.235 0.750
9 O 0.235 0.765 0.250
10 O 0.235 0.765 0.750
11 O 0.765 0.235 0.250
12 O 0.765 0.235 0.750
13 O 0.765 0.765 0.250
14 O 0.765 0.765 0.750

Main lines, by intensity (2θ from 10° to 80°):
2θ/deg, Rel. int.
14.31, 100
33.05, 84
36.18, 49
21.36, 36
53.05, 26
35.07, 21
31.85, 19
32.35, 18
70.03, 18
57.51, 18



# 8
Na3AuO3: simulated X-ray diffraction stick pattern (Cu Kα), based on a crystal structure in the Materials Project, relaxed with PBE.
Lines closer than 0.1° are merged.

Structural model:
Cell lengths 9.574, 9.574, 4.563 Å; angles 90.00, 90.00, 90.00 degrees
Element x y z (fractional)
1 Na 0.120 0.374 0.000
2 Na 0.126 0.620 0.500
3 Na 0.147 0.147 0.500
4 Na 0.353 0.647 0.000
5 Na 0.374 0.120 0.000
6 Na 0.380 0.874 0.500
7 Na 0.620 0.126 0.500
8 Na 0.626 0.880 0.000
9 Na 0.647 0.353 0.000
10 Na 0.853 0.853 0.500
11 Na 0.874 0.380 0.500
12 Na 0.880 0.626 0.000
13 Au 0.116 0.884 0.000
14 Au 0.384 0.384 0.500
15 Au 0.616 0.616 0.500
16 Au 0.884 0.116 0.000
17 O 0.102 0.102 0.000
18 O 0.115 0.672 0.000
19 O 0.172 0.385 0.500
20 O 0.328 0.885 0.000
21 O 0.385 0.172 0.500
22 O 0.398 0.602 0.500
23 O 0.602 0.398 0.500
24 O 0.615 0.828 0.500
25 O 0.672 0.115 0.000
26 O 0.828 0.615 0.500
27 O 0.885 0.328 0.000
28 O 0.898 0.898 0.000

Main lines, by intensity (2θ from 10° to 80°):
2θ/deg, Rel. int.
21.58, 100
32.95, 76
13.08, 54
20.75, 53
37.58, 48
23.51, 31
55.66, 29
43.74, 28
51.78, 25
39.50, 24



# 9
NaAuS4O14: simulated X-ray diffraction stick pattern (Cu Kα), based on a crystal structure in the Materials Project, relaxed with PBE.
Lines closer than 0.1° are merged.

Structural model:
Cell lengths 5.533, 12.319, 10.174 Å; angles 90.00, 113.09, 90.00 degrees
Element x y z (fractional)
1 Na 0.000 0.000 0.000
2 Na 0.000 0.500 0.500
3 Au 0.500 0.000 0.500
4 Au 0.500 0.500 0.000
5 S 0.283 0.038 0.738
6 S 0.283 0.462 0.238
7 S 0.355 0.225 0.584
8 S 0.355 0.275 0.084
9 S 0.645 0.725 0.916
10 S 0.645 0.775 0.416
11 S 0.717 0.538 0.762
12 S 0.717 0.962 0.262
13 O 0.067 0.005 0.773
14 O 0.067 0.495 0.273
15 O 0.185 0.156 0.661
16 O 0.185 0.344 0.161
17 O 0.189 0.183 0.025
18 O 0.189 0.317 0.525
19 O 0.281 0.535 0.115
20 O 0.281 0.965 0.615
21 O 0.333 0.151 0.458
22 O 0.333 0.349 0.958
23 O 0.381 0.738 0.814
24 O 0.381 0.762 0.314
25 O 0.461 0.550 0.650
26 O 0.461 0.950 0.150
27 O 0.539 0.050 0.850
28 O 0.539 0.450 0.350
29 O 0.619 0.238 0.686
30 O 0.619 0.262 0.186
31 O 0.667 0.651 0.042
32 O 0.667 0.849 0.542
33 O 0.719 0.035 0.385
34 O 0.719 0.465 0.885
35 O 0.811 0.683 0.475
36 O 0.811 0.817 0.975
37 O 0.815 0.656 0.839
38 O 0.815 0.844 0.339
39 O 0.933 0.505 0.727
40 O 0.933 0.995 0.227

Main lines, by intensity (2θ from 10° to 80°):
2θ/deg, Rel. int.
11.88, 100
24.06, 57
14.38, 42
17.42, 34
28.01, 32
28.98, 25
43.54, 19
34.00, 17
24.82, 15
34.89, 14